1.
Structure and calculated PXRD pattern of NdSc3Sb4 (a GGA-PBE-relaxed structure; a wavelength of 1.5418 Å).
Lines closer than 0.1° are merged.

Crystal structure
a b c (Å): 8.513 12.053 4.268
angles (deg): 90.00 90.00 90.00
Space group Cmmm (No. 65)
Inequivalent atoms, fractional coordinates:
Nd1 0.000 0.000 0.000
Sc1 0.000 0.500 0.000
Sc2 0.250 0.250 0.500
Sb1 0.000 0.258 0.000
Sb2 0.234 0.500 0.500

Main lines, low angle first (10° ≤ 2θ ≤ 80°):
25.60°, 3.480 Å, rel. 13, (0 2 1); 29.64°, 3.014 Å, rel. 100, (2 0 1); 42.41°, 2.132 Å, rel. 61, (0 0 2); 42.47°, 2.128 Å, rel. 12, (4 0 0); 52.55°, 1.742 Å, rel. 13, (0 4 2); 52.65°, 1.738 Å, rel. 12, (4 4 0); 61.54°, 1.507 Å, rel. 11, (4 0 2); 69.76°, 1.348 Å, rel. 26, (2 0 3); 77.53°, 1.231 Å, rel. 12, (2 4 3); 77.67°, 1.229 Å, rel. 11, (4 8 0)

---

2.
Structure and calculated PXRD pattern of NdSc5Sb4 (a GGA-PBE-relaxed structure; a wavelength of 1.5418 Å).
Lines closer than 0.1° are merged.

Crystal structure
a b c (Å): 9.691 10.076 5.679
angles (deg): 90.00 90.00 90.00
Space group Cmmm (No. 65)
Inequivalent atoms, fractional coordinates:
Nd1 0.000 0.000 0.000
Sc1 0.000 0.500 0.500
Sc2 0.250 0.250 0.249
Sb1 0.000 0.331 0.000
Sb2 0.192 0.000 0.500

Main lines, low angle first (10° ≤ 2θ ≤ 80°):
23.61°, 3.769 Å, rel. 29, (0 2 1); 24.14°, 3.686 Å, rel. 100, (2 0 1); 28.12°, 3.174 Å, rel. 46, (1 3 0); 32.31°, 2.770 Å, rel. 42, (1 3 1); 33.12°, 2.705 Å, rel. 27, (3 1 1); 36.32°, 2.474 Å, rel. 30, (0 2 2); 37.11°, 2.423 Å, rel. 24, (4 0 0); 41.94°, 2.154 Å, rel. 70, (3 3 1); 42.73°, 2.116 Å, rel. 29, (1 3 2); 64.47°, 1.445 Å, rel. 33, (0 6 2)

---

3.
Structure and calculated PXRD pattern of Nd3ScSb2 (a GGA-PBE-relaxed structure; a wavelength of 1.5418 Å).
Lines closer than 0.1° are merged.

Crystal structure
a b c (Å): 4.387 4.652 17.214
angles (deg): 90.00 90.00 90.00
Space group Immm (No. 71)
Inequivalent atoms, fractional coordinates:
Nd1 0.000 0.000 0.000
Nd2 0.000 0.500 0.323
Sc1 0.000 0.000 0.500
Sb1 0.000 0.500 0.133

Main lines, low angle first (10° ≤ 2θ ≤ 80°):
27.96°, 3.191 Å, rel. 42, (1 1 0); 29.86°, 2.992 Å, rel. 94, (1 1 2); 31.17°, 2.869 Å, rel. 38, (0 0 6); 32.35°, 2.767 Å, rel. 48, (0 1 5); 35.00°, 2.563 Å, rel. 100, (1 1 4); 38.71°, 2.326 Å, rel. 39, (0 2 0); 41.16°, 2.193 Å, rel. 33, (2 0 0); 53.29°, 1.719 Å, rel. 24, (2 1 5); 57.78°, 1.596 Å, rel. 24, (2 2 0); 67.12°, 1.395 Å, rel. 20, (2 2 6)